This entry pairs a crystal structure of KTi3Se6 with its simulated powder diffraction line list. Radiation: Cu Kα (weighted mean of Kα1 and Kα2). Structure: a structure optimized by DFT (PBE).

a = 11.583 Å, b = 3.597 Å, c = 11.664 Å
α = 90.00°, β = 106.87°, γ = 90.00°
Space group P2_1/m (No. 11)
Inequivalent atoms, fractional coordinates:
K  0.112  0.250  0.379 (multiplicity 2)
Ti  0.147  0.250  0.034 (multiplicity 2)
Ti  0.298  0.750  0.728 (multiplicity 2)
Ti  0.471  0.750  0.347 (multiplicity 2)
Se  0.049  0.750  0.136 (multiplicity 2)
Se  0.142  0.250  0.656 (multiplicity 2)
Se  0.241  0.750  0.940 (multiplicity 2)
Se  0.324  0.250  0.243 (multiplicity 2)
Se  0.372  0.750  0.537 (multiplicity 2)
Se  0.451  0.250  0.834 (multiplicity 2)

Main lines, in order of falling intensity (10° ≤ 2θ ≤ 90°):
| hkl | two_theta | intensity |
| --- | --- | --- |
| 2 1 1 | 31.92 | 100 |
| 2 0 -4 | 31.41 | 78 |
| 0 1 5 | 47.96 | 49 |
| 4 0 -1 | 30.91 | 34 |
| 5 1 -3 | 48.39 | 32 |
| 1 0 1 | 12.78 | 30 |
| 0 2 0 | 50.77 | 29 |
| 3 0 -4 | 34.19 | 29 |
| 3 1 1 | 37.36 | 28 |
| 2 1 -3 | 35.23 | 27 |
| 2 0 3 | 32.66 | 22 |
| 3 1 -3 | 38.25 | 20 |